For Li3Ge3Au2, a PBE-relaxed structure gives the theoretical powder X-ray diffraction pattern in this record (CuKα).

Most intense lines, 2θ = 15–90°, in order of rising 2θ:
(1 1 1), 2θ 22.94, intensity 100.0; (0 0 4), 2θ 26.88, intensity 37.3; (0 2 3), 2θ 27.75, intensity 69.5; (0 2 4), 2θ 33.10, intensity 28.4; (1 3 0), 2θ 34.98, intensity 45.2; (2 0 0), 2θ 40.09, intensity 38.2; (1 3 3), 2θ 40.66, intensity 75.8; (1 3 4), 2θ 44.67, intensity 40.6; (2 2 3), 2θ 49.46, intensity 30.6; (1 5 0), 2θ 52.95, intensity 42.2

Structural model:
Cell: 4.498 9.365 13.266 Å, 90.00 90.00 90.00°
Space group Cmcm (No. 63)
One atom of each set of equivalent atoms:
Li1 0.000 0.111 0.083 (multiplicity 8)
Li2 0.000 0.287 0.250 (multiplicity 4)
Ge1 0.000 0.411 0.750 (multiplicity 4)
Ge2 0.000 0.422 0.078 (multiplicity 8)
Au1 0.000 0.196 0.620 (multiplicity 8)